Calculated XRD peak list of PrSmHo2Tm5 for Cu Kα, 1.54184 Å, from a cell relaxed with PBE.

Structure:
```
PrSmHo2Tm5
1.0
-4.4322 4.4322 7.3232
4.4322 -4.4322 7.3232
4.4322 4.4322 -7.3232
Pr Sm Ho Tm
2 2 4 10
Direct
0.2500 0.2500 0.0000
0.7500 0.7500 0.0000
0.2500 0.7500 0.5000
0.7500 0.2500 0.5000
0.1133 0.6133 0.7266
0.3867 0.1133 0.5000
0.6133 0.8867 0.5000
0.8867 0.3867 0.2734
0.0000 0.0000 0.0000
0.0730 0.1645 0.5000
0.1645 0.6645 0.0915
0.3355 0.4270 0.5000
0.4270 0.9270 0.0915
0.5000 0.5000 0.0000
0.5730 0.0730 0.9085
0.6645 0.5730 0.5000
0.8355 0.3355 0.9085
0.9270 0.8355 0.5000
```

Principal peaks in the range 5° ≤ 2θ ≤ 70°, in order of falling intensity:
2θ = 31.70°, rel. 100
2θ = 29.01°, rel. 52
2θ = 28.48°, rel. 51
2θ = 37.08°, rel. 22
2θ = 52.50°, rel. 18
2θ = 38.20°, rel. 18
2θ = 42.50°, rel. 17
2θ = 31.93°, rel. 17
2θ = 58.37°, rel. 13
2θ = 49.81°, rel. 13